Entry 1:
Calculated powder X-ray diffraction pattern
Compound: LiCaZn2Ag4
Radiation: Cu Kα
Structure: a GGA-PBE-relaxed structure
Lines closer than 0.1° are merged.

Crystal structure
```
data_LiCaZn2Ag4
_chemical_formula_sum 'Li3 Ca3 Zn6 Ag12'
_space_group_name_H-M_alt 'R -3 m'
_space_group_IT_number 166
_space_group_name_Hall '-R 3 2"'
_cell_length_a 4.5436
_cell_length_b 4.5436
_cell_length_c 25.1411
_cell_angle_alpha 90.00
_cell_angle_beta 90.00
_cell_angle_gamma 120.00
loop_
_atom_site_label
_atom_site_fract_x
_atom_site_fract_y
_atom_site_fract_z
Li1 0.0000 0.0000 0.0000
Ca1 0.0000 0.0000 0.5000
Zn1 0.0000 0.0000 0.2570
Ag1 0.0000 0.0000 0.1013
Ag2 0.0000 0.0000 0.3708
```

Largest 6 diffraction maxima, in order of falling intensity, 10 to 80 degrees two-theta:
2theta  intensity
39.67  100
36.59  72
26.73  35
45.92  25
21.20  22
33.79  21

Entry 2:
Calculated powder X-ray diffraction pattern
Compound: LiCaZnAg3
Radiation: Cu Kα
Structure: a GGA-PBE-relaxed structure
Lines closer than 0.1° are merged.

Crystal structure
```
data_LiCaZnAg3
_chemical_formula_sum 'Li4 Ca4 Zn4 Ag12'
_space_group_name_H-M_alt 'C m c m'
_space_group_IT_number 63
_space_group_name_Hall '-C 2c 2'
_cell_length_a 6.1396
_cell_length_b 13.1289
_cell_length_c 6.0010
_cell_angle_alpha 90.00
_cell_angle_beta 90.00
_cell_angle_gamma 90.00
loop_
_atom_site_label
_atom_site_fract_x
_atom_site_fract_y
_atom_site_fract_z
Li1 0.0000 0.0885 0.2500
Ca1 0.0000 0.3063 0.2500
Zn1 0.0000 0.3538 0.7500
Ag1 0.0000 0.1491 0.7500
Ag2 0.2264 0.5000 0.0000
```

Largest 6 diffraction maxima, in order of falling intensity, 10 to 80 degrees two-theta:
2theta  intensity
40.24  100
42.11  88
32.82  85
32.19  84
13.49  76
40.74  69

Number 2 is which compound? LiCaZnAg3